This entry pairs a crystal structure of Tb5PmTl with its theoretical powder XRD pattern. Radiation: a wavelength of 1.5418 Å. Structure: the GGA-PBE geometry in Alexandria.
Intensities are scaled so that the largest is 100.

Largest 12 diffraction maxima, by intensity, 10 to 80 degrees two-theta:
Position (°2θ)	I_rel
31.91	100
32.47	57
28.12	47
32.69	43
39.73	27
28.30	26
32.85	26
38.50	21
40.20	20
27.31	18
66.72	17
52.26	17

Cell and atoms:
Cell: 7.102 7.102 7.102 Å, 127.02 125.24 79.68°
Atoms (fractional coordinates):
Tb 0.000 0.000 0.000
Tb 0.472 0.214 0.742
Tb 0.472 0.730 0.258
Tb 0.520 0.252 0.268
Tb 0.985 0.252 0.732
Pm 0.123 0.623 0.500
Tl 0.724 0.724 0.000

=====

This entry pairs a crystal structure of KCuI with its theoretical powder XRD pattern. Radiation: a wavelength of 1.5418 Å. Structure: the GGA-PBE geometry in Alexandria.
Intensities are scaled so that the largest is 100.

Largest 12 diffraction maxima, by intensity, 10 to 80 degrees two-theta:
Position (°2θ)	I_rel
27.52	100
30.79	70
19.34	62
50.75	61
39.31	46
46.43	31
23.78	28
44.18	25
36.64	20
64.26	18
67.78	12
58.58	10

Cell and atoms:
Cell: 7.483 7.483 6.498 Å, 90.00 90.00 120.00°
Atoms (fractional coordinates):
K 0.000 0.370 0.333
K 0.370 0.000 0.667
K 0.630 0.630 0.000
Cu 0.000 0.103 0.833
Cu 0.103 0.000 0.167
Cu 0.897 0.897 0.500
I 0.000 0.461 0.833
I 0.461 0.000 0.167
I 0.539 0.539 0.500

=====

This entry pairs a crystal structure of TeAsCl3F6 with its theoretical powder XRD pattern. Radiation: a wavelength of 1.5418 Å. Structure: the GGA-PBE geometry in Alexandria.
Intensities are scaled so that the largest is 100.

Largest 12 diffraction maxima, by intensity, 10 to 80 degrees two-theta:
Position (°2θ)	I_rel
22.49	100
16.64	94
13.39	68
24.08	59
19.92	51
16.96	51
27.65	49
14.02	44
35.01	41
24.00	32
40.45	27
11.16	26

Cell and atoms:
Cell: 8.953 10.453 12.034 Å, 90.00 117.72 90.00°
Atoms (fractional coordinates):
Te 0.247 0.163 0.311
Te 0.247 0.337 0.811
Te 0.753 0.663 0.189
Te 0.753 0.837 0.689
As 0.410 0.682 0.797
As 0.410 0.818 0.297
As 0.590 0.182 0.703
As 0.590 0.318 0.203
Cl 0.018 0.162 0.112
Cl 0.018 0.338 0.612
Cl 0.092 0.102 0.413
Cl 0.092 0.398 0.913
Cl 0.244 0.121 0.847
Cl 0.244 0.379 0.347
Cl 0.756 0.621 0.653
Cl 0.756 0.879 0.153
Cl 0.908 0.602 0.087
Cl 0.908 0.898 0.587
Cl 0.982 0.662 0.388
Cl 0.982 0.838 0.888
F 0.224 0.594 0.771
F 0.224 0.906 0.271
F 0.319 0.676 0.311
F 0.319 0.824 0.811
F 0.333 0.705 0.635
F 0.333 0.795 0.135
F 0.397 0.236 0.172
F 0.397 0.264 0.672
F 0.492 0.657 0.964
F 0.492 0.843 0.464
F 0.497 0.035 0.709
F 0.497 0.465 0.209
F 0.503 0.535 0.791
F 0.503 0.965 0.291
F 0.508 0.157 0.536
F 0.508 0.343 0.036
F 0.603 0.736 0.328
F 0.603 0.764 0.828
F 0.667 0.205 0.865
F 0.667 0.295 0.365
F 0.681 0.176 0.189
F 0.681 0.324 0.689
F 0.776 0.094 0.729
F 0.776 0.406 0.229

=====

This entry pairs a crystal structure of LaH with its theoretical powder XRD pattern. Radiation: a wavelength of 1.5418 Å. Structure: the GGA-PBE geometry in Alexandria.
Intensities are scaled so that the largest is 100.

Largest 12 diffraction maxima, by intensity, 10 to 80 degrees two-theta:
Position (°2θ)	I_rel
29.15	100
29.60	73
29.42	36
52.30	30
41.92	27
57.58	22
52.00	13
52.19	11
42.10	11
57.48	11
73.85	10
48.20	10

Cell and atoms:
Cell: 3.776 6.036 6.036 Å, 119.60 90.00 90.00°
Atoms (fractional coordinates):
La 0.000 0.000 0.000
La 0.500 0.351 0.690
La 0.500 0.690 0.351
H 0.000 0.016 0.580
H 0.000 0.580 0.016
H 0.500 0.771 0.771

=====

This entry pairs a crystal structure of NaTb2PmHg4 with its theoretical powder XRD pattern. Radiation: a wavelength of 1.5418 Å. Structure: the GGA-PBE geometry in Alexandria.
Intensities are scaled so that the largest is 100.

Largest 12 diffraction maxima, by intensity, 10 to 80 degrees two-theta:
Position (°2θ)	I_rel
33.75	100
34.17	98
60.92	37
48.80	36
61.18	19
60.11	18
23.84	14
71.98	12
70.99	11
25.96	4
19.83	4
20.69	4

Cell and atoms:
Cell: 9.237 9.237 9.237 Å, 33.01 33.01 33.01°
Atoms (fractional coordinates):
Na 0.000 0.000 0.000
Tb 0.255 0.255 0.255
Tb 0.745 0.745 0.745
Pm 0.500 0.500 0.500
Hg 0.123 0.123 0.123
Hg 0.375 0.375 0.375
Hg 0.625 0.625 0.625
Hg 0.877 0.877 0.877

=====

This entry pairs a crystal structure of CaTe2O5 with its theoretical powder XRD pattern. Radiation: a wavelength of 1.5418 Å. Structure: the GGA-PBE geometry in Alexandria.
Intensities are scaled so that the largest is 100.

Largest 12 diffraction maxima, by intensity, 10 to 80 degrees two-theta:
Position (°2θ)	I_rel
23.50	100
28.31	80
25.79	40
47.89	28
37.61	19
19.40	18
51.36	16
26.89	16
41.48	15
30.44	15
48.38	14
56.20	13

Cell and atoms:
Cell: 7.528 11.663 6.630 Å, 90.00 90.00 90.00°
Atoms (fractional coordinates):
Ca 0.000 0.058 0.250
Ca 0.000 0.942 0.750
Ca 0.500 0.442 0.750
Ca 0.500 0.558 0.250
Te 0.132 0.341 0.033
Te 0.132 0.659 0.533
Te 0.368 0.159 0.533
Te 0.368 0.841 0.033
Te 0.632 0.159 0.967
Te 0.632 0.841 0.467
Te 0.868 0.341 0.467
Te 0.868 0.659 0.967
O 0.000 0.426 0.250
O 0.000 0.574 0.750
O 0.162 0.070 0.552
O 0.162 0.930 0.052
O 0.199 0.214 0.191
O 0.199 0.786 0.691
O 0.301 0.286 0.691
O 0.301 0.714 0.191
O 0.338 0.430 0.052
O 0.338 0.570 0.552
O 0.500 0.074 0.750
O 0.500 0.926 0.250
O 0.662 0.430 0.448
O 0.662 0.570 0.948
O 0.699 0.286 0.809
O 0.699 0.714 0.309
O 0.801 0.214 0.309
O 0.801 0.786 0.809
O 0.838 0.070 0.948
O 0.838 0.930 0.448

=====

This entry pairs a crystal structure of K2Cd3 with its theoretical powder XRD pattern. Radiation: a wavelength of 1.5418 Å. Structure: the GGA-PBE geometry in Alexandria.
Intensities are scaled so that the largest is 100.

Largest 12 diffraction maxima, by intensity, 10 to 80 degrees two-theta:
Position (°2θ)	I_rel
15.49	100
35.01	97
27.58	67
53.05	36
41.72	33
31.27	32
35.38	31
38.83	21
63.26	20
29.29	19
47.93	19
16.37	16

Cell and atoms:
Cell: 6.972 6.972 6.972 Å, 137.32 127.67 69.74°
Atoms (fractional coordinates):
K 0.197 0.197 0.000
K 0.803 0.803 0.000
Cd 0.247 0.500 0.747
Cd 0.500 0.000 0.500
Cd 0.753 0.500 0.253

=====

This entry pairs a crystal structure of Ac3Cd8 with its theoretical powder XRD pattern. Radiation: a wavelength of 1.5418 Å. Structure: the GGA-PBE geometry in Alexandria.
Intensities are scaled so that the largest is 100.

Largest 12 diffraction maxima, by intensity, 10 to 80 degrees two-theta:
Position (°2θ)	I_rel
30.59	100
30.04	54
36.37	54
35.14	37
46.89	32
59.35	27
45.21	18
58.52	17
60.25	14
28.88	13
74.33	12
61.25	10

Cell and atoms:
Cell: 15.860 15.860 15.860 Å, 165.47 161.47 23.63°
Atoms (fractional coordinates):
Ac 0.000 0.000 0.000
Ac 0.356 0.856 0.500
Ac 0.644 0.144 0.500
Cd 0.094 0.594 0.500
Cd 0.189 0.689 0.500
Cd 0.260 0.260 0.000
Cd 0.452 0.452 0.000
Cd 0.548 0.548 0.000
Cd 0.740 0.740 0.000
Cd 0.811 0.311 0.500
Cd 0.906 0.406 0.500

=====

This entry pairs a crystal structure of Th3CuOs2 with its theoretical powder XRD pattern. Radiation: a wavelength of 1.5418 Å. Structure: the GGA-PBE geometry in Alexandria.
Intensities are scaled so that the largest is 100.

Largest 12 diffraction maxima, by intensity, 10 to 80 degrees two-theta:
Position (°2θ)	I_rel
31.87	100
35.09	91
30.65	65
44.12	57
32.76	56
27.28	44
45.43	40
31.04	40
38.17	38
41.11	29
32.33	28
65.18	28

Cell and atoms:
Cell: 11.898 4.105 11.554 Å, 90.00 90.00 90.00°
Atoms (fractional coordinates):
Th 0.059 0.250 0.128
Th 0.122 0.750 0.569
Th 0.202 0.250 0.818
Th 0.298 0.750 0.318
Th 0.378 0.250 0.069
Th 0.441 0.750 0.628
Th 0.559 0.250 0.372
Th 0.622 0.750 0.931
Th 0.702 0.250 0.682
Th 0.798 0.750 0.182
Th 0.878 0.250 0.431
Th 0.941 0.750 0.872
Cu 0.129 0.250 0.380
Cu 0.371 0.750 0.880
Cu 0.629 0.250 0.120
Cu 0.871 0.750 0.620
Os 0.009 0.750 0.313
Os 0.176 0.750 0.993
Os 0.324 0.250 0.493
Os 0.491 0.250 0.813
Os 0.509 0.750 0.187
Os 0.676 0.750 0.507
Os 0.824 0.250 0.007
Os 0.991 0.250 0.687

=====

This entry pairs a crystal structure of YBeZn6Cu with its theoretical powder XRD pattern. Radiation: a wavelength of 1.5418 Å. Structure: the GGA-PBE geometry in Alexandria.
Intensities are scaled so that the largest is 100.

Largest 12 diffraction maxima, by intensity, 10 to 80 degrees two-theta:
Position (°2θ)	I_rel
34.68	100
39.37	74
44.41	57
35.46	54
29.98	33
36.87	32
48.18	32
37.96	29
47.66	22
42.41	21
49.79	16
26.84	15

Cell and atoms:
Cell: 7.642 7.642 7.642 Å, 128.08 115.47 87.32°
Atoms (fractional coordinates):
Y 0.447 0.197 0.250
Y 0.553 0.803 0.750
Be 0.000 0.000 0.000
Be 0.500 0.000 0.500
Zn 0.116 0.421 0.295
Zn 0.116 0.821 0.695
Zn 0.167 0.917 0.250
Zn 0.262 0.512 0.750
Zn 0.374 0.179 0.795
Zn 0.374 0.579 0.195
Zn 0.626 0.421 0.805
Zn 0.626 0.821 0.205
Zn 0.738 0.488 0.250
Zn 0.833 0.083 0.750
Zn 0.884 0.179 0.305
Zn 0.884 0.579 0.705
Cu 0.000 0.000 0.500
Cu 0.000 0.500 0.000